The following is a calculated powder XRD pattern of LiTh2B10. It was derived from a crystal structure in Alexandria, relaxed with GGA-PBE, using Cu Kα X-rays.
Neutral-atom scattering factors, no anomalous dispersion.

Atomic structure:
Cell lengths 5.688, 11.320, 4.157 Å; angles 90.00, 90.00, 90.00 degrees
Space group Pbam (No. 55)
One atom of each set of equivalent atoms:
1 Li 0.000 0.000 0.000 [2 per cell]
2 Th 0.204 0.364 0.500 [4 per cell]
3 B 0.051 0.190 0.000 [4 per cell]
4 B 0.122 0.541 0.000 [4 per cell]
5 B 0.140 0.697 0.000 [4 per cell]
6 B 0.215 0.117 0.300 [8 per cell]

Most intense lines, 15 to 90 degrees two-theta, by intensity:
d_spacing	I (rel.)	index
2.887	1000	1 2 1
4.012	814	1 2 0
4.157	515	0 0 1
2.339	316	0 4 1
1.846	282	1 2 2
2.830	251	0 4 0
2.347	241	2 0 1
2.844	194	2 0 0
1.807	184	2 4 1
2.006	147	2 4 0



The following is a calculated powder XRD pattern of Ni2Ge2Pd. It was derived from a crystal structure in Alexandria, relaxed with GGA-PBE, using Cu Kα X-rays.
Neutral-atom scattering factors, no anomalous dispersion.

Atomic structure:
Cell lengths 4.528, 4.901, 6.559 Å; angles 96.40, 101.88, 95.37 degrees
Space group P1 (No. 1)
One atom of each set of equivalent atoms:
1 Ni 0.000 0.000 0.000 [1 per cell]
2 Ni 0.055 0.724 0.662 [1 per cell]
3 Ni 0.619 0.555 0.877 [1 per cell]
4 Ni 0.793 0.181 0.630 [1 per cell]
5 Ge 0.110 0.005 0.392 [1 per cell]
6 Ge 0.141 0.481 0.962 [1 per cell]
7 Ge 0.473 0.048 0.867 [1 per cell]
8 Ge 0.494 0.535 0.507 [1 per cell]
9 Pd 0.539 0.862 0.236 [1 per cell]
10 Pd 0.924 0.441 0.280 [1 per cell]

Most intense lines, 15 to 90 degrees two-theta, by intensity:
d_spacing	I (rel.)	index
2.098	1000	1 0 -3
2.542	662	1 1 1
2.089	622	-2 1 1
2.118	601	1 -2 1
2.063	578	0 2 -2
2.166	400	0 2 1
2.418	387	0 2 0
2.260	376	1 -1 2
1.974	374	2 1 -1
2.200	373	2 0 0



The following is a calculated powder XRD pattern of Pu5Ge2O2. It was derived from a crystal structure in Alexandria, relaxed with GGA-PBE, using Cu Kα X-rays.
Neutral-atom scattering factors, no anomalous dispersion.

Atomic structure:
Cell lengths 6.410, 18.425, 6.860 Å; angles 90.00, 90.00, 90.00 degrees
Space group Imma (No. 74)
One atom of each set of equivalent atoms:
1 Pu 0.000 0.137 0.098 [8 per cell]
2 Pu 0.250 0.014 0.750 [8 per cell]
3 Pu 0.250 0.250 0.750 [4 per cell]
4 Ge 0.000 0.125 0.533 [8 per cell]
5 O 0.000 0.000 0.000 [4 per cell]
6 O 0.000 0.250 0.005 [4 per cell]

Most intense lines, 15 to 90 degrees two-theta, by intensity:
d_spacing	I (rel.)	index
2.631	1000	2 4 0
2.341	685	2 0 2
2.751	634	0 4 2
3.246	475	0 5 1
2.868	340	2 1 1
2.303	308	0 8 0
2.984	259	1 1 2
1.642	258	2 8 2
1.385	239	4 4 2
1.673	225	2 9 1



The following is a calculated powder XRD pattern of Na2Ge3Au17. It was derived from a crystal structure in Alexandria, relaxed with GGA-PBE, using Cu Kα X-rays.
Neutral-atom scattering factors, no anomalous dispersion.

Atomic structure:
Cell lengths 10.5437, 10.5437, 14.9098 Å; angles 90.00, 90.00, 120.00 degrees
Space group R-3m (No. 166, hexagonal axes)
One atom of each set of equivalent atoms:
1 Na 0.0000 0.0000 0.1998 [6 per cell]
2 Ge 0.0000 0.5000 0.5000 [9 per cell]
3 Au 0.0000 0.0000 0.4058 [6 per cell]
4 Au 0.0000 0.2656 0.5000 [18 per cell]
5 Au 0.0000 0.5000 0.0000 [9 per cell]
6 Au 0.0379 0.5190 0.3345 [18 per cell]

Most intense lines, 15 to 90 degrees two-theta, by intensity:
d_spacing	I (rel.)	index
2.329	1000	2 2 3
2.636	731	2 2 0
2.256	661	4 0 1
2.248	563	1 1 6
2.596	543	3 0 3
2.485	492	0 0 6
5.272	472	1 1 0
2.497	388	1 3 1
2.183	338	0 4 2
1.455	266	3 0 9